1.
The following is a calculated PXRD pattern of Ca4In3P2. It was derived from a crystal structure in Alexandria, relaxed with PBE, using Cu Kα.

Atomic structure:
abc: 5.6580 16.7098 5.3068
angles: 90.00 90.00 90.00
Space group Pnnm (No. 58)
Symmetry-distinct sites (fractional):
Ca  0.1903  0.1478  0.0000 [4 per cell]
Ca  0.2391  0.4024  0.0000 [4 per cell]
In  0.0000  0.5000  0.5000 [2 per cell]
In  0.2013  0.2529  0.5000 [4 per cell]
P  0.2404  0.0853  0.5000 [4 per cell]

Top 10 peaks for 15 to 90 degrees two-theta, low angle first:
- 2θ 22.98, I 265, hkl 1 0 1
- 2θ 23.59, I 421, hkl 1 1 1
- 2θ 28.07, I 1000, hkl 1 3 1
- 2θ 31.51, I 473, hkl 1 4 1
- 2θ 31.63, I 574, hkl 2 0 0
- 2θ 33.44, I 311, hkl 2 2 0
- 2θ 33.78, I 712, hkl 0 0 2
- 2θ 35.49, I 784, hkl 1 5 1
- 2θ 36.39, I 266, hkl 2 1 1
- 2θ 45.71, I 270, hkl 2 6 0


2.
The following is a calculated PXRD pattern of Dy3Pu5S8. It was derived from a crystal structure in Alexandria, relaxed with PBE, using Cu Kα.

Atomic structure:
abc: 7.8828 7.8828 19.2011
angles: 90.00 90.00 120.00
Space group R-3m (No. 166, hexagonal axes)
Symmetry-distinct sites (fractional):
Dy  0.0000  0.5000  0.0000 [9 per cell]
Pu  0.0000  0.0000  0.0000 [3 per cell]
Pu  0.0000  0.0000  0.5000 [3 per cell]
Pu  0.0000  0.5000  0.5000 [9 per cell]
S  0.0000  0.0000  0.2510 [6 per cell]
S  0.0008  0.5004  0.2509 [18 per cell]

Top 10 peaks for 15 to 90 degrees two-theta, low angle first:
- 2θ 27.74, I 746, hkl 2 0 2
- 2θ 27.88, I 246, hkl 0 0 6
- 2θ 32.18, I 1000, hkl 0 2 4
- 2θ 46.06, I 370, hkl 2 2 0
- 2θ 46.24, I 366, hkl 2 0 8
- 2θ 54.67, I 372, hkl 2 2 6
- 2θ 57.29, I 194, hkl 4 0 4
- 2θ 76.45, I 169, hkl 2 4 4
- 2θ 76.72, I 167, hkl 2 2 12
- 2θ 85.44, I 130, hkl 4 2 8


3.
The following is a calculated PXRD pattern of Cs2ZrBr7. It was derived from a crystal structure in Alexandria, relaxed with PBE, using Cu Kα.

Atomic structure:
abc: 8.3426 8.3426 12.4914
angles: 90.00 90.00 90.00
Space group I4/mmm (No. 139)
Symmetry-distinct sites (fractional):
Cs  0.0000  0.5000  0.2500 [4 per cell]
Zr  0.0000  0.0000  0.0000 [2 per cell]
Br  0.0000  0.0000  0.2120 [4 per cell]
Br  0.0000  0.0000  0.5000 [2 per cell]
Br  0.2247  0.2247  0.0000 [8 per cell]

Top 10 peaks for 15 to 90 degrees two-theta, low angle first:
- 2θ 20.71, I 508, hkl 1 1 2
- 2θ 21.30, I 221, hkl 2 0 0
- 2θ 25.68, I 1000, hkl 2 0 2
- 2θ 28.58, I 476, hkl 0 0 4
- 2θ 30.30, I 888, hkl 2 2 0
- 2θ 36.99, I 180, hkl 3 1 2
- 2θ 42.14, I 600, hkl 2 2 4
- 2θ 43.39, I 311, hkl 4 0 0
- 2θ 51.10, I 230, hkl 4 2 2
- 2θ 52.78, I 284, hkl 4 0 4


4.
The following is a calculated PXRD pattern of Li3PaPd4. It was derived from a crystal structure in Alexandria, relaxed with PBE, using Cu Kα.

Atomic structure:
abc: 6.3686 6.3686 6.3686
angles: 90.00 90.00 90.00
Space group Im-3m (No. 229)
Symmetry-distinct sites (fractional):
Li  0.0000  0.0000  0.5000 [6 per cell]
Pa  0.0000  0.0000  0.0000 [2 per cell]
Pd  0.2500  0.2500  0.2500 [8 per cell]

Top 10 peaks for 15 to 90 degrees two-theta, low angle first:
- 2θ 19.71, I 633, hkl 1 1 0
- 2θ 28.02, I 111, hkl 2 0 0
- 2θ 34.50, I 322, hkl 2 1 1
- 2θ 40.04, I 1000, hkl 2 2 0
- 2θ 45.01, I 156, hkl 3 1 0
- 2θ 53.86, I 187, hkl 3 2 1
- 2θ 57.92, I 169, hkl 4 0 0
- 2θ 72.74, I 341, hkl 4 2 2
- 2θ 76.23, I 103, hkl 5 1 0
- 2θ 86.43, I 110, hkl 4 4 0


5.
The following is a calculated PXRD pattern of Cr2FeRh4. It was derived from a crystal structure in Alexandria, relaxed with PBE, using Cu Kα.

Atomic structure:
abc: 6.5562 7.9610 3.8163
angles: 90.00 90.00 90.00
Space group Cmmm (No. 65)
Symmetry-distinct sites (fractional):
Cr  0.0000  0.2163  0.0000 [4 per cell]
Fe  0.0000  0.0000  0.5000 [2 per cell]
Rh  0.2061  0.5000  0.0000 [4 per cell]
Rh  0.2500  0.2500  0.5000 [4 per cell]

Top 10 peaks for 15 to 90 degrees two-theta, low angle first:
- 2θ 27.20, I 132, hkl 2 0 0
- 2θ 29.31, I 78, hkl 1 1 1
- 2θ 32.50, I 233, hkl 0 2 1
- 2θ 42.88, I 1000, hkl 2 2 1
- 2θ 43.79, I 92, hkl 1 3 1
- 2θ 45.58, I 194, hkl 0 4 0
- 2θ 47.66, I 192, hkl 0 0 2
- 2θ 68.07, I 111, hkl 0 4 2
- 2θ 82.38, I 100, hkl 2 6 1
- 2θ 85.42, I 116, hkl 2 2 3